The following is a simulated powder XRD pattern of ZnCdSeO. It was derived from a structure optimized by DFT (GGA-PBE), using Cu Kα (λ = 1.5418 Å).
No peak broadening, texture or thermal motion is included.

Crystal structure
abc: 6.906 7.113 12.680
angles: 90.00 90.00 90.00
Space group Pbca (No. 61)
Unique sites:
Zn1 0.088 0.192 0.062 x8
Cd1 0.145 0.565 0.771 x8
Se1 0.244 0.567 0.462 x8
O1 0.118 0.243 0.213 x8

Largest 10 diffraction maxima, sorted by position, 5 to 70 degrees two-theta:
(1 1 2), 22.8°, I 47
(0 0 4), 28.2°, I 59
(2 1 1), 29.6°, I 100
(1 2 2), 31.6°, I 30
(2 1 2), 32.1°, I 31
(0 2 3), 32.9°, I 80
(2 1 3), 35.9°, I 30
(2 3 0), 46.5°, I 34
(1 2 6), 52.0°, I 31
(4 0 2), 55.2°, I 32

The following is a simulated powder XRD pattern of Ho2Te4O11. It was derived from a structure optimized by DFT (GGA-PBE), using Cu Kα (λ = 1.5418 Å).
No peak broadening, texture or thermal motion is included.

Crystal structure
abc: 12.316 5.084 15.903
angles: 90.00 106.52 90.00
Space group C2/c (No. 15)
Unique sites:
Ho1 0.119 0.247 0.037 x8
Te1 0.124 0.217 0.371 x8
Te2 0.126 0.221 0.702 x8
O1 0.000 0.361 0.750 x4
O2 0.024 0.079 0.596 x8
O3 0.068 0.392 0.455 x8
O4 0.152 0.436 0.170 x8
O5 0.208 0.046 0.946 x8
O6 0.249 0.061 0.630 x8

Largest 10 diffraction maxima, sorted by position, 5 to 70 degrees two-theta:
(1 1 3), 27.4°, I 100
(3 1 -3), 30.1°, I 70
(4 0 0), 30.3°, I 33
(2 0 -6), 34.2°, I 21
(0 2 0), 35.3°, I 19
(2 0 6), 42.5°, I 15
(4 2 0), 47.2°, I 23
(6 0 -6), 50.0°, I 29
(5 1 3), 50.3°, I 18
(1 1 -9), 55.6°, I 15

The following is a simulated powder XRD pattern of LaPrAl4. It was derived from a structure optimized by DFT (GGA-PBE), using Cu Kα (λ = 1.5418 Å).
No peak broadening, texture or thermal motion is included.

Crystal structure
abc: 8.841 4.415 7.537
angles: 90.00 90.00 90.00
Space group Pmma (No. 51)
Unique sites:
La1 0.250 0.000 0.195 x2
Pr1 0.250 0.000 0.775 x2
Al1 0.000 0.000 0.500 x2
Al2 0.006 0.500 0.761 x4
Al3 0.250 0.500 0.490 x2

Largest 10 diffraction maxima, sorted by position, 5 to 70 degrees two-theta:
(2 0 0), 20.1°, I 99
(0 0 2), 23.6°, I 40
(2 1 0), 28.6°, I 66
(2 1 1), 31.0°, I 22
(2 0 2), 31.2°, I 47
(2 1 2), 37.4°, I 100
(0 2 0), 40.9°, I 48
(4 1 0), 45.9°, I 24
(0 2 2), 47.7°, I 24
(4 1 2), 52.3°, I 22